The following is a calculated powder diffraction line list of Na3MgPCO7. It was derived from a cell relaxed with GGA-PBE, using Cu Kα (weighted mean of Kα1 and Kα2).

The 6 most intense peaks (10° ≤ 2θ ≤ 90°), low angle first:
2theta  Rel. int.
26.58  60
33.22  34
33.44  100
34.28  55
48.87  32
54.73  30

a = 5.232 Å, b = 6.708 Å, c = 8.898 Å
α = 90.00°, β = 90.73°, γ = 90.00°
Space group P2_1/m (No. 11)
Unique sites:
Na 0.237 0.250 0.082 (multiplicity 2)
Na 0.253 0.507 0.733 (multiplicity 4)
Mg 0.217 0.750 0.354 (multiplicity 2)
P 0.289 0.250 0.416 (multiplicity 2)
C 0.271 0.750 0.064 (multiplicity 2)
O 0.046 0.750 0.125 (multiplicity 2)
O 0.146 0.250 0.568 (multiplicity 2)
O 0.219 0.063 0.320 (multiplicity 4)
O 0.297 0.750 0.920 (multiplicity 2)
O 0.417 0.750 0.551 (multiplicity 2)
O 0.471 0.750 0.154 (multiplicity 2)